The following is a simulated powder diffractogram of Dy. It was derived from a crystal structure in the Materials Project, relaxed with PBE, using Cu Kα (weighted mean of Kα1 and Kα2).
Intensities are scaled so that the largest is 100.

Top 5 peaks for 5° ≤ 2θ ≤ 70°, by angle:
2.894 Å, 30.90 deg, I 100; 2.506 Å, 35.83 deg, I 51; 1.772 Å, 51.58 deg, I 36; 1.511 Å, 61.35 deg, I 43; 1.447 Å, 64.40 deg, I 12

Atomic structure:
Unit cell a=3.544 b=3.544 c=3.544 alpha=60.00 beta=60.00 gamma=60.00
Element x y z (fractional)
1 Dy 0.000 0.000 0.000